This entry pairs a crystal structure of AcNbP with its simulated powder XRD pattern. Radiation: Cu Kα X-rays. Structure: a crystal structure in Alexandria, relaxed with GGA-PBE.
Intensities are scaled so that the largest is 100.

Crystal structure
```
data_AcNbP
_symmetry_space_group_name_H-M 'P 1'
_symmetry_Int_Tables_number 1
_cell_length_a 4.332
_cell_length_b 4.332
_cell_length_c 4.618
_cell_angle_alpha 90.00
_cell_angle_beta 90.00
_cell_angle_gamma 120.00
loop_
_symmetry_equiv_pos_as_xyz
'x,y,z'
loop_
_atom_site_label
_atom_site_type_symbol
_atom_site_fract_x
_atom_site_fract_y
_atom_site_fract_z
_atom_site_occupancy
Ac1 Ac 0.000 0.000 0.000 1
Nb1 Nb 0.667 0.333 0.500 1
P1 P 0.333 0.667 0.500 1
```

Top 10 peaks for 10 to 90 degrees two-theta, low angle first:
h k l	2θ (°)	I/Imax
1 0 0	23.72	30.6
1 0 1	30.71	100.0
0 0 2	39.01	12.6
1 1 0	41.70	31.3
1 0 2	46.17	11.3
2 0 1	52.67	22.3
1 1 2	58.43	23.3
1 0 3	65.56	11.6
2 1 1	69.33	19.7
3 0 2	89.04	7.6

This entry pairs a crystal structure of NdDyMg2 with its simulated powder XRD pattern. Radiation: Cu Kα X-rays. Structure: a crystal structure in Alexandria, relaxed with GGA-PBE.
Intensities are scaled so that the largest is 100.

Crystal structure
```
data_NdDyMg2
_symmetry_space_group_name_H-M 'P 1'
_symmetry_Int_Tables_number 1
_cell_length_a 3.826
_cell_length_b 3.826
_cell_length_c 7.728
_cell_angle_alpha 90.00
_cell_angle_beta 90.00
_cell_angle_gamma 90.00
loop_
_symmetry_equiv_pos_as_xyz
'x,y,z'
loop_
_atom_site_label
_atom_site_type_symbol
_atom_site_fract_x
_atom_site_fract_y
_atom_site_fract_z
_atom_site_occupancy
Nd1 Nd 0.000 0.000 0.000 1
Dy1 Dy 0.000 0.000 0.500 1
Mg1 Mg 0.500 0.500 0.259 1
Mg2 Mg 0.500 0.500 0.741 1
```

Top 10 peaks for 10 to 90 degrees two-theta, low angle first:
h k l	2θ (°)	I/Imax
0 0 2	23.02	31.1
1 0 0	23.25	60.6
1 0 2	32.94	100.0
1 1 0	33.11	49.4
1 1 2	40.71	28.5
2 0 0	47.53	17.9
1 0 4	53.10	13.4
1 1 4	58.72	18.9
2 1 2	59.04	37.3
3 1 0	79.11	15.8

This entry pairs a crystal structure of Sc3GeC with its simulated powder XRD pattern. Radiation: Cu Kα X-rays. Structure: a crystal structure in Alexandria, relaxed with GGA-PBE.
Intensities are scaled so that the largest is 100.

Crystal structure
```
data_Sc3GeC
_symmetry_space_group_name_H-M 'P 1'
_symmetry_Int_Tables_number 1
_cell_length_a 3.351
_cell_length_b 4.501
_cell_length_c 6.113
_cell_angle_alpha 90.00
_cell_angle_beta 101.75
_cell_angle_gamma 90.00
loop_
_symmetry_equiv_pos_as_xyz
'x,y,z'
loop_
_atom_site_label
_atom_site_type_symbol
_atom_site_fract_x
_atom_site_fract_y
_atom_site_fract_z
_atom_site_occupancy
Sc1 Sc 0.000 0.000 0.000 1
Sc2 Sc 0.194 0.000 0.509 1
Sc3 Sc 0.597 0.500 0.254 1
Ge1 Ge 0.599 0.500 0.754 1
C1 C 0.597 0.000 0.254 1
```

Top 10 peaks for 10 to 90 degrees two-theta, low angle first:
h k l	2θ (°)	I/Imax
1 1 0	33.81	100.0
0 1 2	36.04	97.1
1 0 -2	36.28	51.5
1 1 1	39.37	17.0
0 2 0	40.07	43.4
1 0 2	44.97	25.3
1 2 -2	55.15	27.9
1 2 2	61.78	18.3
1 1 -4	66.51	13.1
0 3 2	70.17	13.2